1.
BaPa2ZnO8: simulated powder diffraction line list (a wavelength of 1.5418 Å), based on a DFT-relaxed cell (GGA-PBE, Alexandria).

Principal peaks in the range 2θ from 10° to 90°, by angle:
14.59 deg, I 35; 26.45 deg, I 53; 27.08 deg, I 100; 29.42 deg, I 25; 30.06 deg, I 38; 33.27 deg, I 20; 33.46 deg, I 21; 42.49 deg, I 17; 42.72 deg, I 17; 46.35 deg, I 17; 47.43 deg, I 23; 49.41 deg, I 13

Crystal structure
Cell: 3.9182 6.1326 7.4517 Å, 81.93 89.66 89.84°
Fractional coordinates of all 12 atoms:
Ba 0.0000 0.0000 0.0000
Pa 0.4977 0.4600 0.2546
Pa 0.5023 0.5400 0.7454
Zn 0.0000 0.0000 0.5000
O 0.0022 0.3698 0.7542
O 0.0033 0.7912 0.7033
O 0.4989 0.2808 0.5450
O 0.4992 0.2935 0.0144
O 0.5008 0.7065 0.9856
O 0.5011 0.7192 0.4550
O 0.9967 0.2088 0.2967
O 0.9978 0.6302 0.2458

=====

2.
LiCaBr: simulated powder diffraction line list (a wavelength of 1.5418 Å), based on a DFT-relaxed cell (GGA-PBE, Alexandria).

Principal peaks in the range 2θ from 10° to 90°, by angle:
19.90 deg, I 56; 26.59 deg, I 61; 27.42 deg, I 54; 29.81 deg, I 85; 33.43 deg, I 100; 38.00 deg, I 80; 40.44 deg, I 19; 46.94 deg, I 46; 49.06 deg, I 22; 51.46 deg, I 25; 61.92 deg, I 20; 63.65 deg, I 28

Crystal structure
Cell: 13.3816 3.8729 6.7031 Å, 90.00 90.00 90.00°
Fractional coordinates of all 12 atoms:
Li 0.2181 0.0000 0.0000
Li 0.2181 0.5000 0.5000
Li 0.7819 0.0000 0.0000
Li 0.7819 0.5000 0.5000
Ca 0.0000 0.0000 0.3350
Ca 0.0000 0.5000 0.8350
Ca 0.5000 0.0000 0.3327
Ca 0.5000 0.5000 0.8327
Br 0.3440 0.0000 0.6661
Br 0.3440 0.5000 0.1661
Br 0.6560 0.0000 0.6661
Br 0.6560 0.5000 0.1661

=====

3.
Ga3CuPb2Au12: simulated powder diffraction line list (a wavelength of 1.5418 Å), based on a DFT-relaxed cell (GGA-PBE, Alexandria).

Principal peaks in the range 2θ from 10° to 90°, by angle:
25.03 deg, I 9; 30.35 deg, I 100; 43.12 deg, I 60; 43.77 deg, I 57; 53.64 deg, I 21; 54.74 deg, I 6; 63.13 deg, I 19; 71.17 deg, I 18; 72.11 deg, I 17; 79.06 deg, I 10; 79.52 deg, I 20; 80.88 deg, I 10

Crystal structure
Cell: 8.2741 8.2741 8.2741 Å, 60.94 60.94 60.94°
Fractional coordinates of all 18 atoms:
Ga 0.0000 0.5000 0.5000
Ga 0.5000 0.0000 0.5000
Ga 0.5000 0.5000 0.0000
Cu 0.5000 0.5000 0.5000
Pb 0.1257 0.1257 0.1257
Pb 0.8743 0.8743 0.8743
Au 0.1221 0.1221 0.6272
Au 0.1221 0.6272 0.1221
Au 0.1254 0.6290 0.6290
Au 0.3710 0.3710 0.8746
Au 0.3710 0.8746 0.3710
Au 0.3728 0.8779 0.8779
Au 0.6272 0.1221 0.1221
Au 0.6290 0.1254 0.6290
Au 0.6290 0.6290 0.1254
Au 0.8746 0.3710 0.3710
Au 0.8779 0.3728 0.8779
Au 0.8779 0.8779 0.3728